(1)
Simulated PXRD pattern
Compound: NdHfRu
Radiation: Cu Kα, 1.54184 Å
Structure: a PBE-relaxed structure

```
data_NdHfRu
_chemical_formula_sum 'Nd6 Hf6 Ru6'
_cell_length_a 7.099
_cell_length_b 4.504
_cell_length_c 12.976
_cell_angle_alpha 90.00
_cell_angle_beta 91.66
_cell_angle_gamma 90.00
_space_group_name_H-M_alt 'P 1 21/m 1'
_space_group_IT_number 11
loop_
_space_group_symop_operation_xyz
'x,y,z'
'-x,-y,-z'
'-x,y+1/2,-z'
'x,-y+1/2,z'
loop_
_atom_site_label
_atom_site_type_symbol
_atom_site_fract_x
_atom_site_fract_y
_atom_site_fract_z
_atom_site_occupancy
Nd1 Nd 0.008 0.250 0.377 1
Nd2 Nd 0.115 0.250 0.084 1
Nd3 Nd 0.484 0.250 0.290 1
Hf1 Hf 0.165 0.250 0.789 1
Hf2 Hf 0.356 0.750 0.459 1
Hf3 Hf 0.460 0.750 0.084 1
Ru1 Ru 0.199 0.750 0.239 1
Ru2 Ru 0.279 0.250 0.565 1
Ru3 Ru 0.312 0.750 0.891 1
```

Principal peaks in the range 2θ from 10° to 90°, in order of rising 2θ:
31.08 deg, I = 676, (1 1 -3); 31.57 deg, I = 831, (1 1 3); 32.13 deg, I = 649, (2 1 0); 33.04 deg, I = 419, (2 1 1); 34.07 deg, I = 452, (0 1 4); 34.74 deg, I = 565, (2 1 -2); 36.53 deg, I = 236, (1 0 -5); 38.87 deg, I = 419, (3 0 1); 40.06 deg, I = 1000, (0 2 0); 41.79 deg, I = 160, (0 0 6); 45.16 deg, I = 160, (3 1 -2); 55.30 deg, I = 179, (1 2 -5)

***

(2)
Simulated PXRD pattern
Compound: NdHo2Er2Sc2
Radiation: Cu Kα, 1.54184 Å
Structure: a PBE-relaxed structure

```
data_NdHo2Er2Sc2
_chemical_formula_sum 'Nd2 Ho4 Er4 Sc4'
_cell_length_a 3.408
_cell_length_b 5.413
_cell_length_c 22.452
_cell_angle_alpha 90.00
_cell_angle_beta 90.00
_cell_angle_gamma 90.00
_space_group_name_H-M_alt 'I m m m'
_space_group_IT_number 71
_space_group_name_Hall '-I 2 2'
loop_
_atom_site_label
_atom_site_type_symbol
_atom_site_fract_x
_atom_site_fract_y
_atom_site_fract_z
_atom_site_occupancy
Nd1 Nd 0.000 0.000 0.000 1
Ho1 Ho 0.000 0.000 0.427 1
Er1 Er 0.000 0.500 0.208 1
Sc1 Sc 0.000 0.500 0.354 1
```

Principal peaks in the range 2θ from 10° to 90°, in order of rising 2θ:
16.85 deg, I = 173, (0 1 1); 20.25 deg, I = 197, (0 1 3); 32.04 deg, I = 1000, (1 1 2); 32.45 deg, I = 876, (0 1 7); 33.00 deg, I = 524, (1 0 5); 33.10 deg, I = 430, (0 2 0); 45.04 deg, I = 157, (1 0 9); 47.44 deg, I = 382, (1 2 5); 58.46 deg, I = 180, (1 3 2); 58.71 deg, I = 159, (0 3 7); 58.83 deg, I = 210, (1 1 12); 64.25 deg, I = 242, (2 1 7)

***

(3)
Simulated PXRD pattern
Compound: CaVAg2Se4
Radiation: Cu Kα, 1.54184 Å
Structure: a PBE-relaxed structure

```
data_CaVAg2Se4
_chemical_formula_sum 'Ca2 V2 Ag4 Se8'
_cell_length_a 6.289
_cell_length_b 6.289
_cell_length_c 11.265
_cell_angle_alpha 90.00
_cell_angle_beta 90.00
_cell_angle_gamma 90.00
_space_group_name_H-M_alt 'I -4 2 m'
_space_group_IT_number 121
_space_group_name_Hall 'I -4 2'
loop_
_atom_site_label
_atom_site_type_symbol
_atom_site_fract_x
_atom_site_fract_y
_atom_site_fract_z
_atom_site_occupancy
Ca1 Ca 0.000 0.000 0.000 1
V1 V 0.000 0.000 0.500 1
Ag1 Ag 0.000 0.500 0.250 1
Se1 Se 0.216 0.216 0.378 1
```

Principal peaks in the range 2θ from 10° to 90°, in order of rising 2θ:
19.97 deg, I = 61, (1 1 0); 25.52 deg, I = 1000, (1 1 2); 32.62 deg, I = 56, (2 0 2); 40.58 deg, I = 246, (2 2 0); 43.12 deg, I = 448, (2 0 4); 48.55 deg, I = 281, (3 1 2); 52.94 deg, I = 124, (1 1 6); 58.73 deg, I = 65, (4 0 0); 65.06 deg, I = 60, (3 3 2); 68.77 deg, I = 112, (3 1 6); 75.58 deg, I = 111, (4 2 4); 80.79 deg, I = 61, (2 2 8)

***

(4)
Simulated PXRD pattern
Compound: HgMo6S8
Radiation: Cu Kα, 1.54184 Å
Structure: a PBE-relaxed structure

```
data_HgMo6S8
_chemical_formula_sum 'Hg3 Mo18 S24'
_cell_length_a 9.5486
_cell_length_b 9.5486
_cell_length_c 10.8076
_cell_angle_alpha 90.00
_cell_angle_beta 90.00
_cell_angle_gamma 120.00
_space_group_name_H-M_alt 'R -3'
_space_group_IT_number 148
_space_group_name_Hall '-R 3'
loop_
_atom_site_label
_atom_site_type_symbol
_atom_site_fract_x
_atom_site_fract_y
_atom_site_fract_z
_atom_site_occupancy
Hg1 Hg 0.0000 0.0000 0.0000 1
Mo1 Mo 0.0145 0.1739 0.3941 1
S1 S 0.0000 0.0000 0.2270 1
S2 S 0.0227 0.3868 0.2550 1
```

Principal peaks in the range 2θ from 10° to 90°, in order of rising 2θ:
13.48 deg, I = 392, (1 0 1); 18.58 deg, I = 784, (1 1 0); 19.62 deg, I = 573, (0 1 2); 23.03 deg, I = 451, (0 2 1); 24.71 deg, I = 350, (0 0 3); 29.76 deg, I = 1000, (3 -1 1); 33.11 deg, I = 431, (1 2 2); 40.19 deg, I = 778, (4 -3 1); 42.83 deg, I = 407, (3 1 2); 43.26 deg, I = 519, (0 1 5); 44.32 deg, I = 525, (2 1 4); 45.59 deg, I = 684, (4 -2 3)

***

(5)
Simulated PXRD pattern
Compound: Ga2CuPt8
Radiation: Cu Kα, 1.54184 Å
Structure: a PBE-relaxed structure

```
data_Ga2CuPt8
_chemical_formula_sum 'Ga4 Cu2 Pt16'
_cell_length_a 4.088
_cell_length_b 7.245
_cell_length_c 11.568
_cell_angle_alpha 90.00
_cell_angle_beta 90.00
_cell_angle_gamma 90.00
_space_group_name_H-M_alt 'I m m m'
_space_group_IT_number 71
_space_group_name_Hall '-I 2 2'
loop_
_atom_site_label
_atom_site_type_symbol
_atom_site_fract_x
_atom_site_fract_y
_atom_site_fract_z
_atom_site_occupancy
Ga1 Ga 0.000 0.000 0.190 1
Cu1 Cu 0.000 0.000 0.500 1
Pt1 Pt 0.000 0.194 0.000 1
Pt2 Pt 0.000 0.272 0.340 1
Pt3 Pt 0.000 0.500 0.143 1
```

Principal peaks in the range 2θ from 10° to 90°, in order of rising 2θ:
31.91 deg, I = 136, (1 0 3); 38.06 deg, I = 136, (0 3 1); 40.17 deg, I = 161, (1 1 4); 40.68 deg, I = 1000, (1 2 3); 44.32 deg, I = 245, (2 0 0); 47.14 deg, I = 156, (0 0 6); 50.38 deg, I = 95, (0 4 0); 66.69 deg, I = 111, (2 0 6); 77.25 deg, I = 77, (1 5 4); 79.09 deg, I = 146, (3 2 3); 83.17 deg, I = 82, (1 2 9); 88.08 deg, I = 92, (2 4 6)

***

(6)
Simulated PXRD pattern
Compound: Pr4AlZn3
Radiation: Cu Kα, 1.54184 Å
Structure: a PBE-relaxed structure

```
data_Pr4AlZn3
_chemical_formula_sum 'Pr12 Al3 Zn9'
_cell_length_a 5.2619
_cell_length_b 5.2619
_cell_length_c 25.8532
_cell_angle_alpha 90.00
_cell_angle_beta 90.00
_cell_angle_gamma 120.00
_space_group_name_H-M_alt 'R -3 m'
_space_group_IT_number 166
_space_group_name_Hall '-R 3 2"'
loop_
_atom_site_label
_atom_site_type_symbol
_atom_site_fract_x
_atom_site_fract_y
_atom_site_fract_z
_atom_site_occupancy
Pr1 Pr 0.0000 0.0000 0.1237 1
Pr2 Pr 0.0000 0.0000 0.3738 1
Al1 Al 0.0000 0.0000 0.5000 1
Zn1 Zn 0.0000 0.0000 0.0000 1
Zn2 Zn 0.0000 0.0000 0.2485 1
```

Principal peaks in the range 2θ from 10° to 90°, in order of rising 2θ:
23.89 deg, I = 199, (1 0 4); 34.04 deg, I = 1000, (1 1 0); 42.05 deg, I = 45, (0 2 4); 48.91 deg, I = 178, (2 0 8); 55.14 deg, I = 84, (2 1 4); 60.82 deg, I = 90, (1 0 16); 60.97 deg, I = 272, (3 0 0); 71.59 deg, I = 55, (0 2 16); 71.75 deg, I = 55, (2 2 0); 76.82 deg, I = 33, (1 3 4); 81.72 deg, I = 77, (2 1 16); 81.83 deg, I = 77, (3 1 8)

***

(7)
Simulated PXRD pattern
Compound: SrDyBi2
Radiation: Cu Kα, 1.54184 Å
Structure: a PBE-relaxed structure

```
data_SrDyBi2
_chemical_formula_sum 'Sr3 Dy3 Bi6'
_cell_length_a 4.7576
_cell_length_b 4.7576
_cell_length_c 22.6437
_cell_angle_alpha 90.00
_cell_angle_beta 90.00
_cell_angle_gamma 120.00
_space_group_name_H-M_alt 'R 3 m'
_space_group_IT_number 160
_space_group_name_Hall 'R 3 -2"'
loop_
_atom_site_label
_atom_site_type_symbol
_atom_site_fract_x
_atom_site_fract_y
_atom_site_fract_z
_atom_site_occupancy
Sr1 Sr 0.0000 0.0000 0.0000 1
Dy1 Dy 0.0000 0.0000 0.8276 1
Bi1 Bi 0.0000 0.0000 0.4220 1
Bi2 Bi 0.0000 0.0000 0.5726 1
```

Principal peaks in the range 2θ from 10° to 90°, in order of rising 2θ:
11.72 deg, I = 198, (0 0 3); 21.93 deg, I = 487, (1 0 1); 22.97 deg, I = 573, (0 1 2); 29.30 deg, I = 1000, (0 1 5); 35.27 deg, I = 825, (1 0 7); 37.82 deg, I = 914, (1 1 0); 38.59 deg, I = 260, (0 1 8); 48.55 deg, I = 253, (2 0 5); 52.67 deg, I = 267, (0 2 7); 62.86 deg, I = 326, (1 1 12); 63.13 deg, I = 233, (1 2 5); 66.65 deg, I = 268, (2 1 7)

***

(8)
Simulated PXRD pattern
Compound: V2NiRh4
Radiation: Cu Kα, 1.54184 Å
Structure: a PBE-relaxed structure

```
data_V2NiRh4
_chemical_formula_sum 'V4 Ni2 Rh8'
_cell_length_a 5.309
_cell_length_b 6.358
_cell_length_c 6.368
_cell_angle_alpha 79.73
_cell_angle_beta 73.48
_cell_angle_gamma 73.43
_space_group_name_H-M_alt 'P 1'
_space_group_IT_number 1
loop_
_space_group_symop_operation_xyz
'x,y,z'
loop_
_atom_site_label
_atom_site_type_symbol
_atom_site_fract_x
_atom_site_fract_y
_atom_site_fract_z
_atom_site_occupancy
V1 V 0.000 0.000 0.000 1
V2 V 0.233 0.439 0.903 1
V3 V 0.499 0.546 0.455 1
V4 V 0.735 0.448 0.891 1
Ni1 Ni 0.237 0.948 0.392 1
Ni2 Ni 0.737 0.938 0.402 1
Rh1 Rh 0.145 0.641 0.241 1
Rh2 Rh 0.149 0.275 0.612 1
Rh3 Rh 0.425 0.801 0.757 1
Rh4 Rh 0.472 0.239 0.188 1
Rh5 Rh 0.645 0.785 0.097 1
Rh6 Rh 0.649 0.159 0.728 1
Rh7 Rh 0.922 0.304 0.255 1
Rh8 Rh 0.973 0.736 0.695 1
```

Principal peaks in the range 2θ from 10° to 90°, in order of rising 2θ:
29.45 deg, I = 495, (0 2 0); 37.29 deg, I = 394, (1 2 -1); 39.75 deg, I = 403, (0 2 2); 40.88 deg, I = 238, (1 -2 1); 41.06 deg, I = 327, (2 2 0); 41.93 deg, I = 331, (-1 1 2); 42.87 deg, I = 1000, (2 -1 1); 43.03 deg, I = 481, (2 2 2); 43.99 deg, I = 483, (1 3 0); 44.43 deg, I = 269, (0 2 -2); 45.78 deg, I = 413, (0 3 1); 48.74 deg, I = 244, (2 1 3)

***

(9)
Simulated PXRD pattern
Compound: TmAl8Fe4
Radiation: Cu Kα, 1.54184 Å
Structure: a PBE-relaxed structure

```
data_TmAl8Fe4
_chemical_formula_sum 'Tm2 Al16 Fe8'
_cell_length_a 8.666
_cell_length_b 8.666
_cell_length_c 5.014
_cell_angle_alpha 90.00
_cell_angle_beta 90.00
_cell_angle_gamma 90.00
_space_group_name_H-M_alt 'I 4/m m m'
_space_group_IT_number 139
_space_group_name_Hall '-I 4 2'
loop_
_atom_site_label
_atom_site_type_symbol
_atom_site_fract_x
_atom_site_fract_y
_atom_site_fract_z
_atom_site_occupancy
Tm1 Tm 0.000 0.000 0.000 1
Al1 Al 0.000 0.220 0.500 1
Al2 Al 0.000 0.340 0.000 1
Fe1 Fe 0.250 0.250 0.250 1
```

Principal peaks in the range 2θ from 10° to 90°, in order of rising 2θ:
14.45 deg, I = 231, (1 1 0); 20.47 deg, I = 219, (1 0 1); 29.13 deg, I = 449, (2 2 0); 32.68 deg, I = 123, (3 1 0); 35.87 deg, I = 217, (3 0 1); 41.66 deg, I = 1000, (4 0 0); 46.84 deg, I = 99, (2 2 2); 49.26 deg, I = 79, (3 1 2); 60.36 deg, I = 183, (4 2 2); 60.42 deg, I = 82, (4 4 0); 68.47 deg, I = 98, (6 2 0); 76.07 deg, I = 171, (6 0 2)

***

(10)
Simulated PXRD pattern
Compound: Ac2AgAu
Radiation: Cu Kα, 1.54184 Å
Structure: a PBE-relaxed structure

```
data_Ac2AgAu
_chemical_formula_sum 'Ac4 Ag2 Au2'
_cell_length_a 6.354
_cell_length_b 4.997
_cell_length_c 8.473
_cell_angle_alpha 90.00
_cell_angle_beta 110.74
_cell_angle_gamma 90.00
_space_group_name_H-M_alt 'P 1 21/m 1'
_space_group_IT_number 11
loop_
_space_group_symop_operation_xyz
'x,y,z'
'-x,-y,-z'
'-x,y+1/2,-z'
'x,-y+1/2,z'
loop_
_atom_site_label
_atom_site_type_symbol
_atom_site_fract_x
_atom_site_fract_y
_atom_site_fract_z
_atom_site_occupancy
Ac1 Ac 0.222 0.250 0.431 1
Ac2 Ac 0.229 0.250 0.927 1
Ag1 Ag 0.337 0.750 0.209 1
Au1 Au 0.340 0.750 0.708 1
```

Principal peaks in the range 2θ from 10° to 90°, in order of rising 2θ:
28.50 deg, I = 924, (1 1 -2); 28.76 deg, I = 1000, (0 1 2); 30.08 deg, I = 558, (2 0 0); 30.55 deg, I = 258, (2 0 -2); 31.26 deg, I = 253, (1 0 2); 35.14 deg, I = 409, (2 1 0); 35.56 deg, I = 716, (2 1 -2); 35.94 deg, I = 641, (0 2 0); 36.17 deg, I = 631, (1 1 2); 42.70 deg, I = 398, (1 0 -4); 47.55 deg, I = 323, (2 2 0); 57.01 deg, I = 455, (1 2 -4)

***

(11)
Simulated PXRD pattern
Compound: HoPuInRu
Radiation: Cu Kα, 1.54184 Å
Structure: a PBE-relaxed structure

```
data_HoPuInRu
_chemical_formula_sum 'Ho1 Pu1 In1 Ru1'
_cell_length_a 3.317
_cell_length_b 3.317
_cell_length_c 8.355
_cell_angle_alpha 90.00
_cell_angle_beta 90.00
_cell_angle_gamma 90.00
_space_group_name_H-M_alt 'P 4 m m'
_space_group_IT_number 99
loop_
_space_group_symop_operation_xyz
'x,y,z'
'-y,x,z'
'-x,-y,z'
'y,-x,z'
'-x,y,z'
'y,x,z'
'x,-y,z'
'-y,-x,z'
loop_
_atom_site_label
_atom_site_type_symbol
_atom_site_fract_x
_atom_site_fract_y
_atom_site_fract_z
_atom_site_occupancy
Ho1 Ho 0.000 0.000 0.000 1
Pu1 Pu 0.000 0.000 0.587 1
In1 In 0.500 0.500 0.292 1
Ru1 Ru 0.500 0.500 0.793 1
```

Principal peaks in the range 2θ from 10° to 90°, in order of rising 2θ:
10.59 deg, I = 162, (0 0 1); 26.88 deg, I = 91, (1 0 0); 28.96 deg, I = 96, (1 0 1); 32.14 deg, I = 91, (0 0 3); 34.53 deg, I = 1000, (1 0 2); 38.38 deg, I = 454, (1 1 0); 42.38 deg, I = 143, (1 0 3); 50.90 deg, I = 102, (1 1 3); 55.40 deg, I = 157, (2 0 0); 59.24 deg, I = 111, (1 1 4); 62.21 deg, I = 96, (1 0 5); 66.94 deg, I = 293, (2 1 2)

***

(12)
Simulated PXRD pattern
Compound: NbTeHPdICl
Radiation: Cu Kα, 1.54184 Å
Structure: a PBE-relaxed structure

```
data_NbTeHPdICl
_chemical_formula_sum 'Nb2 Te2 H2 Pd2 I2 Cl2'
_cell_length_a 14.593
_cell_length_b 3.691
_cell_length_c 6.107
_cell_angle_alpha 90.00
_cell_angle_beta 113.06
_cell_angle_gamma 90.00
_space_group_name_H-M_alt 'C 1 m 1'
_space_group_IT_number 8
loop_
_space_group_symop_operation_xyz
'x,y,z'
'x,-y,z'
'x+1/2,y+1/2,z'
'x+1/2,-y+1/2,z'
loop_
_atom_site_label
_atom_site_type_symbol
_atom_site_fract_x
_atom_site_fract_y
_atom_site_fract_z
_atom_site_occupancy
Nb1 Nb 0.000 0.000 0.000 1
Te1 Te 0.107 0.500 0.862 1
H1 H 0.395 0.500 0.640 1
Pd1 Pd 0.410 0.000 0.633 1
I1 I 0.373 0.000 0.130 1
Cl1 Cl 0.119 0.000 0.395 1
```

Principal peaks in the range 2θ from 10° to 90°, in order of rising 2θ:
13.19 deg, I = 844, (2 0 0); 15.77 deg, I = 479, (0 0 1); 25.02 deg, I = 394, (1 1 0); 26.55 deg, I = 298, (4 0 0); 28.26 deg, I = 263, (1 1 -1); 29.26 deg, I = 319, (2 0 -2); 31.46 deg, I = 1000, (3 1 -1); 38.72 deg, I = 433, (1 1 -2); 39.03 deg, I = 430, (3 1 -2); 39.32 deg, I = 362, (2 0 2); 40.52 deg, I = 243, (6 0 -2); 41.59 deg, I = 403, (5 1 0)

***

(13)
Simulated PXRD pattern
Compound: Pm5Dy2Y12
Radiation: Cu Kα, 1.54184 Å
Structure: a PBE-relaxed structure

```
data_Pm5Dy2Y12
_chemical_formula_sum 'Pm5 Dy2 Y12'
_cell_length_a 6.079
_cell_length_b 9.790
_cell_length_c 11.362
_cell_angle_alpha 69.94
_cell_angle_beta 82.77
_cell_angle_gamma 88.57
_space_group_name_H-M_alt 'P -1'
_space_group_IT_number 2
loop_
_space_group_symop_operation_xyz
'x,y,z'
'-x,-y,-z'
loop_
_atom_site_label
_atom_site_type_symbol
_atom_site_fract_x
_atom_site_fract_y
_atom_site_fract_z
_atom_site_occupancy
Pm1 Pm 0.000 0.000 0.000 1
Pm2 Pm 0.082 0.312 0.043 1
Pm3 Pm 0.429 0.183 0.485 1
Dy1 Dy 0.284 0.569 0.419 1
Y1 Y 0.041 0.684 0.656 1
Y2 Y 0.102 0.962 0.346 1
Y3 Y 0.165 0.316 0.724 1
Y4 Y 0.386 0.903 0.788 1
Y5 Y 0.424 0.821 0.106 1
Y6 Y 0.496 0.457 0.167 1
```

Principal peaks in the range 2θ from 10° to 90°, in order of rising 2θ:
27.12 deg, I = 313, (1 -2 1); 28.21 deg, I = 169, (0 3 2); 30.62 deg, I = 523, (2 1 1); 30.91 deg, I = 1000, (1 0 -3); 31.42 deg, I = 813, (0 3 3); 32.06 deg, I = 172, (1 -1 3); 32.19 deg, I = 643, (1 -2 2); 33.05 deg, I = 746, (1 3 0); 33.40 deg, I = 429, (1 1 4); 35.60 deg, I = 302, (-2 2 1); 50.28 deg, I = 179, (2 4 4); 58.32 deg, I = 157, (0 1 7)

***

(14)
Simulated PXRD pattern
Compound: Ca2NiSnPb
Radiation: Cu Kα, 1.54184 Å
Structure: a PBE-relaxed structure

```
data_Ca2NiSnPb
_chemical_formula_sum 'Ca2 Ni1 Sn1 Pb1'
_cell_length_a 5.402
_cell_length_b 5.402
_cell_length_c 4.814
_cell_angle_alpha 90.00
_cell_angle_beta 90.00
_cell_angle_gamma 90.00
_space_group_name_H-M_alt 'P 4/m m m'
_space_group_IT_number 123
_space_group_name_Hall '-P 4 2'
loop_
_atom_site_label
_atom_site_type_symbol
_atom_site_fract_x
_atom_site_fract_y
_atom_site_fract_z
_atom_site_occupancy
Ca1 Ca 0.000 0.500 0.000 1
Ni1 Ni 0.000 0.000 0.000 1
Sn1 Sn 0.000 0.000 0.500 1
Pb1 Pb 0.500 0.500 0.500 1
```

Principal peaks in the range 2θ from 10° to 90°, in order of rising 2θ:
18.43 deg, I = 186, (0 0 1); 23.29 deg, I = 711, (1 1 0); 24.77 deg, I = 294, (1 0 1); 29.86 deg, I = 1000, (1 1 1); 33.17 deg, I = 725, (2 0 0); 37.36 deg, I = 262, (0 0 2); 44.49 deg, I = 275, (1 1 2); 47.61 deg, I = 262, (2 2 0); 50.81 deg, I = 431, (2 0 2); 57.22 deg, I = 325, (3 1 1); 62.03 deg, I = 236, (2 2 2); 67.20 deg, I = 169, (3 1 2)